1.
Structure and theoretical X-ray powder pattern of CsLiH4N2 (a PBE-relaxed structure; Cu Kα (weighted mean of Kα1 and Kα2)).
Kinematic intensities with the Lorentz-polarization factor, no thermal factor.

Cell and atoms:
Cell: 6.4507 6.4507 8.3901 Å, 90.00 90.00 120.00°
Space group P6_222 (No. 180)
Unique sites:
Cs (0.0000, 0.5000, 0.1667)
Li (0.0000, 0.0000, 0.0000)
H (0.0936, 0.4000, 0.5506)
N (0.1429, 0.2857, 0.5000)

The 12 most intense peaks (2θ = 10–90°), by intensity:
(1 0 1), 19.09°, 4.650 Å, I 100; (1 1 1), 29.67°, 3.011 Å, I 69; (0 0 3), 32.03°, 2.794 Å, I 58; (1 0 2), 26.57°, 3.355 Å, I 49; (1 1 2), 35.10°, 2.557 Å, I 44; (2 1 1), 44.23°, 2.048 Å, I 24; (2 0 3), 45.92°, 1.976 Å, I 23; (2 1 2), 48.25°, 1.886 Å, I 18; (0 0 6), 66.98°, 1.397 Å, I 18; (1 1 5), 62.39°, 1.488 Å, I 16; (3 0 1), 50.18°, 1.818 Å, I 13; (1 1 4), 52.01°, 1.758 Å, I 13

=====

2.
Structure and theoretical X-ray powder pattern of Sr5Ag2Br12 (a PBE-relaxed structure; Cu Kα (weighted mean of Kα1 and Kα2)).
Kinematic intensities with the Lorentz-polarization factor, no thermal factor.

Cell and atoms:
Cell: 16.326 8.452 10.874 Å, 90.00 108.77 90.00°
Space group C2/m (No. 12)
Unique sites:
Sr (0.000, 0.000, 0.000)
Sr (0.220, 0.500, 0.457)
Sr (0.225, 0.500, 0.869)
Ag (0.000, 0.326, 0.500)
Br (0.029, 0.500, 0.300)
Br (0.129, 0.000, 0.284)
Br (0.134, 0.243, 0.984)
Br (0.169, 0.246, 0.628)

The 12 most intense peaks (2θ = 10–90°), by intensity:
(1 1 -1), 13.60°, 6.513 Å, I 100; (2 2 -2), 27.36°, 3.260 Å, I 82; (2 2 -3), 32.71°, 2.738 Å, I 57; (2 2 -1), 24.23°, 3.674 Å, I 51; (4 2 -2), 32.07°, 2.791 Å, I 50; (0 0 2), 17.23°, 5.148 Å, I 41; (4 2 0), 31.37°, 2.852 Å, I 36; (4 0 1), 27.13°, 3.287 Å, I 32; (0 4 0), 42.80°, 2.113 Å, I 31; (4 2 1), 34.56°, 2.596 Å, I 29; (3 3 2), 42.96°, 2.105 Å, I 26; (4 0 3), 40.36°, 2.235 Å, I 25